# Mg14GaBi
Simulated powder X-ray diffraction pattern, a wavelength of 1.5418 Å. Input: the PBE geometry in Alexandria.
Neutral-atom scattering factors, no anomalous dispersion.

Largest 10 diffraction maxima, by angle, 2θ from 10° to 90°:
2θ/deg  d/Å  intensity
15.9  5.564  59
18.1  4.888  29
23.6  3.766  50
32.2  2.782  32
32.9  2.720  22
35.1  2.558  24
36.8  2.444  100
48.3  1.883  20
64.0  1.454  20
69.0  1.360  19

Cell and atoms:
```
Mg14GaBi
1.0
6.4242 0.0000 0.0000
-3.2121 5.5635 0.0000
0.0000 0.0000 10.2329
Mg Ga Bi
14 1 1
Direct
0.0000 0.0000 0.2483
0.0000 0.0000 0.7517
0.3294 0.1647 0.5000
0.3343 0.1672 0.0000
0.5017 0.0035 0.2579
0.5017 0.0035 0.7421
0.5017 0.4983 0.2579
0.5017 0.4983 0.7421
0.8328 0.1672 0.0000
0.8328 0.6657 0.0000
0.8353 0.1647 0.5000
0.8353 0.6706 0.5000
0.9965 0.4983 0.2579
0.9965 0.4983 0.7421
0.3333 0.6667 0.5000
0.3333 0.6667 0.0000
```

=====

# Cs2Ba5Sb3O2
Simulated powder X-ray diffraction pattern, a wavelength of 1.5418 Å. Input: the PBE geometry in Alexandria.
Neutral-atom scattering factors, no anomalous dispersion.

Largest 10 diffraction maxima, by angle, 2θ from 10° to 90°:
2θ/deg  d/Å  intensity
25.5  3.494  26
25.7  3.463  57
27.9  3.193  21
28.7  3.116  100
30.1  2.971  19
33.0  2.717  68
43.7  2.069  25
47.3  1.921  24
54.6  1.680  14
56.2  1.635  30

Cell and atoms:
```
Cs2Ba5Sb3O2
1.0
-2.7174 2.7174 15.9654
2.7174 -2.7174 15.9654
2.7174 2.7174 -15.9654
Cs Ba Sb O
2 5 3 2
Direct
0.2089 0.2089 0.0000
0.7911 0.7911 0.0000
0.0000 0.0000 0.0000
0.0943 0.5943 0.5000
0.4057 0.9057 0.5000
0.5943 0.0943 0.5000
0.9057 0.4057 0.5000
0.3349 0.3349 0.0000
0.5000 0.5000 0.0000
0.6651 0.6651 0.0000
0.0818 0.0818 0.0000
0.9182 0.9182 0.0000
```

=====

# Ba2AgSnSe5
Simulated powder X-ray diffraction pattern, a wavelength of 1.5418 Å. Input: the PBE geometry in Alexandria.
Neutral-atom scattering factors, no anomalous dispersion.

Largest 10 diffraction maxima, by angle, 2θ from 10° to 90°:
2θ/deg  d/Å  intensity
22.8  3.901  25
25.6  3.478  60
26.9  3.314  75
28.4  3.139  32
30.2  2.962  100
33.4  2.681  60
35.6  2.520  32
42.5  2.127  39
47.3  1.922  40
51.0  1.790  25

Cell and atoms:
```
Ba2AgSnSe5
1.0
2.1268 -10.3026 0.0000
2.1268 10.3026 0.0000
0.0000 0.0000 12.6437
Ba Ag Sn Se
4 2 2 10
Direct
0.1134 0.8866 0.5000
0.1337 0.8663 0.8697
0.8663 0.1337 0.3697
0.8866 0.1134 0.0000
0.2250 0.7750 0.2321
0.7750 0.2250 0.7321
0.4332 0.5668 0.6443
0.5668 0.4332 0.1443
0.0289 0.9711 0.2537
0.2917 0.7083 0.8669
0.3115 0.6885 0.5990
0.3566 0.6434 0.1849
0.4854 0.5146 0.4618
0.5146 0.4854 0.9618
0.6434 0.3566 0.6849
0.6885 0.3115 0.0990
0.7083 0.2917 0.3669
0.9711 0.0289 0.7537
```

=====

# Rb2OsPb2O6
Simulated powder X-ray diffraction pattern, a wavelength of 1.5418 Å. Input: the PBE geometry in Alexandria.
Neutral-atom scattering factors, no anomalous dispersion.

Largest 10 diffraction maxima, by angle, 2θ from 10° to 90°:
2θ/deg  d/Å  intensity
13.6  6.513  100
27.4  3.257  46
29.6  3.014  35
30.0  2.978  24
31.2  2.868  60
34.2  2.621  35
34.9  2.573  68
48.2  1.887  24
51.0  1.789  22
55.9  1.646  23

Cell and atoms:
```
Rb2OsPb2O6
1.0
3.1481 -5.1384 0.0000
3.1481 5.1384 0.0000
-1.9630 0.0000 6.5132
Rb Os Pb O
2 1 2 6
Direct
0.1726 0.8274 0.0000
0.8274 0.1726 0.0000
0.0000 0.0000 0.5000
0.3363 0.6637 0.5000
0.6637 0.3363 0.5000
0.0479 0.3282 0.6655
0.1970 0.1970 0.3239
0.3282 0.0479 0.6655
0.6718 0.9521 0.3345
0.8030 0.8030 0.6761
0.9521 0.6718 0.3345
```

=====

# Rb5AuI4
Simulated powder X-ray diffraction pattern, a wavelength of 1.5418 Å. Input: the PBE geometry in Alexandria.
Neutral-atom scattering factors, no anomalous dispersion.

Largest 10 diffraction maxima, by angle, 2θ from 10° to 90°:
2θ/deg  d/Å  intensity
20.7  4.283  10
24.0  3.709  100
34.2  2.623  80
42.2  2.141  30
49.1  1.854  14
55.4  1.659  26
55.4  1.658  13
61.2  1.514  29
72.0  1.311  9
77.2  1.236  11

Cell and atoms:
```
Rb5AuI4
1.0
-2.6239 2.6239 18.5271
2.6239 -2.6239 18.5271
2.6239 2.6239 -18.5271
Rb Au I
5 1 4
Direct
0.0000 0.0000 0.0000
0.2000 0.2000 0.0000
0.4024 0.4024 0.0000
0.5976 0.5976 0.0000
0.8000 0.8000 0.0000
0.5000 0.5000 0.0000
0.0992 0.0992 0.0000
0.3008 0.3008 0.0000
0.6992 0.6992 0.0000
0.9008 0.9008 0.0000
```

=====

# RbSn2P3O12
Simulated powder X-ray diffraction pattern, a wavelength of 1.5418 Å. Input: the PBE geometry in Alexandria.
Neutral-atom scattering factors, no anomalous dispersion.

Largest 10 diffraction maxima, by angle, 2θ from 10° to 90°:
2θ/deg  d/Å  intensity
21.0  4.234  86
23.7  3.754  27
30.5  2.930  100
36.8  2.445  29
43.2  2.094  22
48.5  1.877  30
49.8  1.830  16
57.6  1.600  19
59.2  1.561  17
62.4  1.489  23

Cell and atoms:
```
RbSn2P3O12
1.0
4.2345 2.4448 8.1163
-4.2345 2.4448 8.1163
0.0000 -4.8895 8.1163
Rb Sn P O
2 4 6 24
Direct
0.0000 0.0000 0.0000
0.5000 0.5000 0.5000
0.1500 0.1500 0.1500
0.3445 0.3445 0.3445
0.6555 0.6555 0.6555
0.8500 0.8500 0.8500
0.0392 0.4618 0.7482
0.2518 0.9608 0.5382
0.4618 0.7482 0.0392
0.5382 0.2518 0.9608
0.7482 0.0392 0.4618
0.9608 0.5382 0.2518
0.0223 0.6265 0.7612
0.1040 0.8807 0.7285
0.1193 0.2715 0.8960
0.1526 0.5259 0.2101
0.1813 0.4661 0.5445
0.2101 0.1526 0.5259
0.2388 0.9777 0.3735
0.2715 0.8960 0.1193
0.3735 0.2388 0.9777
0.4555 0.8187 0.5339
0.4661 0.5445 0.1813
0.4741 0.7899 0.8474
0.5259 0.2101 0.1526
0.5339 0.4555 0.8187
0.5445 0.1813 0.4661
0.6265 0.7612 0.0223
0.7285 0.1040 0.8807
0.7612 0.0223 0.6265
0.7899 0.8474 0.4741
0.8187 0.5339 0.4555
0.8474 0.4741 0.7899
0.8807 0.7285 0.1040
0.8960 0.1193 0.2715
0.9777 0.3735 0.2388
```

=====

# ErNi8B4
Simulated powder X-ray diffraction pattern, a wavelength of 1.5418 Å. Input: the PBE geometry in Alexandria.
Neutral-atom scattering factors, no anomalous dispersion.

Largest 10 diffraction maxima, by angle, 2θ from 10° to 90°:
2θ/deg  d/Å  intensity
23.4  3.799  43
33.2  2.702  34
37.4  2.403  20
40.5  2.228  49
41.0  2.202  54
47.3  1.922  22
47.7  1.905  100
47.9  1.899  32
78.8  1.214  21
89.2  1.098  27

Cell and atoms:
```
ErNi8B4
1.0
-3.7989 3.7989 2.2283
3.7989 -3.7989 2.2283
3.7989 3.7989 -2.2283
Er Ni B
1 8 4
Direct
0.0000 0.0000 0.0000
0.0000 0.3414 0.3414
0.0000 0.6586 0.6586
0.2736 0.5000 0.7736
0.3414 0.0000 0.3414
0.5000 0.2736 0.7736
0.5000 0.7264 0.2264
0.6586 0.0000 0.6586
0.7264 0.5000 0.2264
0.0000 0.0000 0.5000
0.0000 0.5000 0.0000
0.5000 0.0000 0.0000
0.5000 0.5000 0.5000
```